No. 1
V4HN: simulated powder XRD pattern (a wavelength of 1.5418 Å), based on the GGA-PBE geometry in Alexandria.

Main lines, sorted by position (2θ = 10–90°):
two_theta	d_spacing	I/Imax
39.1	2.306	45
41.5	2.177	100
43.9	2.062	18
56.4	1.630	15
63.7	1.462	8
69.0	1.361	10
72.4	1.305	20
77.3	1.235	10

Structure:
Cell: 5.460 5.460 5.460 Å, 106.66 106.66 115.25°
Fractional positions:
V1 0.211 0.505 0.707
V2 0.255 0.048 0.793
V3 0.255 0.461 0.207
V4 0.282 0.000 0.282
V5 0.718 0.000 0.718
V6 0.750 0.532 0.782
V7 0.750 0.968 0.218
V8 0.798 0.505 0.293
H1 0.013 0.013 0.000
H2 0.763 0.263 0.500
N1 0.257 0.757 0.500
N2 0.507 0.507 0.000

=====

No. 2
ZnHN: simulated powder XRD pattern (a wavelength of 1.5418 Å), based on the GGA-PBE geometry in Alexandria.

Main lines, sorted by position (2θ = 10–90°):
two_theta	d_spacing	I/Imax
22.1	4.016	100
29.1	3.064	60
32.0	2.795	33
33.1	2.707	75
39.7	2.268	70
43.6	2.074	32
50.1	1.820	30
55.3	1.661	38

Structure:
Cell: 5.775 3.664 5.589 Å, 90.00 90.00 90.00°
Fractional positions:
Zn1 0.149 0.250 0.078
Zn2 0.351 0.750 0.578
Zn3 0.649 0.250 0.422
Zn4 0.851 0.750 0.922
H1 0.124 0.250 0.528
H2 0.376 0.750 0.028
H3 0.624 0.250 0.972
H4 0.876 0.750 0.472
N1 0.234 0.750 0.916
N2 0.266 0.250 0.416
N3 0.734 0.750 0.584
N4 0.766 0.250 0.084

=====

No. 3
Zr3HN: simulated powder XRD pattern (a wavelength of 1.5418 Å), based on the GGA-PBE geometry in Alexandria.

Main lines, sorted by position (2θ = 10–90°):
two_theta	d_spacing	I/Imax
31.5	2.842	27
33.9	2.645	38
35.1	2.558	65
35.9	2.504	100
46.9	1.936	24
54.9	1.671	21
61.9	1.499	19
66.1	1.413	20

Structure:
Cell: 8.915 8.915 5.291 Å, 90.00 90.00 158.98°
Fractional positions:
Zr1 0.053 0.947 0.500
Zr2 0.278 0.722 0.986
Zr3 0.381 0.619 0.479
Zr4 0.619 0.381 0.979
Zr5 0.722 0.278 0.486
Zr6 0.947 0.053 0.000
H1 0.390 0.610 0.863
H2 0.610 0.390 0.363
N1 0.166 0.834 0.731
N2 0.834 0.166 0.231

=====

No. 4
Zr3HN2: simulated powder XRD pattern (a wavelength of 1.5418 Å), based on the GGA-PBE geometry in Alexandria.

Main lines, sorted by position (2θ = 10–90°):
two_theta	d_spacing	I/Imax
33.6	2.664	100
39.0	2.307	74
56.4	1.631	47
67.2	1.393	13
67.3	1.391	26
70.7	1.332	15
83.7	1.155	2
83.9	1.153	5

Structure:
Cell: 7.293 7.292 3.264 Å, 77.10 77.04 25.86°
Fractional positions:
Zr1 0.000 0.000 0.000
Zr2 0.329 0.329 0.671
Zr3 0.671 0.671 0.329
H1 0.500 0.500 0.500
N1 0.167 0.167 0.833
N2 0.833 0.833 0.167

=====

No. 5
Zr10HN8: simulated powder XRD pattern (a wavelength of 1.5418 Å), based on the GGA-PBE geometry in Alexandria.

Main lines, sorted by position (2θ = 10–90°):
two_theta	d_spacing	I/Imax
33.6	2.666	100
38.7	2.330	27
39.2	2.299	52
56.2	1.636	34
56.6	1.626	16
66.8	1.401	14
67.5	1.388	23
70.7	1.333	16

Structure:
Cell: 5.643 5.645 8.639 Å, 71.34 71.31 80.12°
Fractional positions:
Zr1 0.047 0.257 0.154
Zr2 0.137 0.755 0.447
Zr3 0.251 0.251 0.750
Zr4 0.358 0.745 0.053
Zr5 0.451 0.238 0.346
Zr6 0.549 0.762 0.654
Zr7 0.642 0.255 0.947
Zr8 0.749 0.749 0.250
Zr9 0.863 0.245 0.553
Zr10 0.953 0.743 0.846
H1 0.000 0.000 0.000
N1 0.101 0.497 0.301
N2 0.201 0.999 0.599
N3 0.302 0.501 0.900
N4 0.398 0.000 0.200
N5 0.602 0.000 0.800
N6 0.698 0.499 0.100
N7 0.799 0.001 0.401
N8 0.899 0.503 0.699

=====

No. 6
Zr2H3N: simulated powder XRD pattern (a wavelength of 1.5418 Å), based on the GGA-PBE geometry in Alexandria.

Main lines, sorted by position (2θ = 10–90°):
two_theta	d_spacing	I/Imax
31.1	2.873	100
36.1	2.488	41
52.0	1.759	40
61.8	1.501	40
64.9	1.437	10
76.6	1.244	6
84.9	1.142	16
87.7	1.113	13

Structure:
Cell: 4.977 4.977 4.977 Å, 90.00 90.00 90.00°
Fractional positions:
Zr1 0.000 0.000 0.000
Zr2 0.000 0.500 0.500
Zr3 0.500 0.000 0.500
Zr4 0.500 0.500 0.000
H1 0.250 0.250 0.750
H2 0.250 0.750 0.250
H3 0.250 0.750 0.750
H4 0.750 0.250 0.250
H5 0.750 0.250 0.750
H6 0.750 0.750 0.250
N1 0.250 0.250 0.250
N2 0.750 0.750 0.750

=====

No. 7
Zr4HN: simulated powder XRD pattern (a wavelength of 1.5418 Å), based on the GGA-PBE geometry in Alexandria.

Main lines, sorted by position (2θ = 10–90°):
two_theta	d_spacing	I/Imax
33.6	2.666	100
34.1	2.632	32
39.1	2.301	76
56.2	1.635	25
56.8	1.621	16
67.1	1.394	13
67.4	1.390	17
67.5	1.387	8

Structure:
Cell: 7.298 7.298 5.598 Å, 104.56 104.56 127.39°
Fractional positions:
Zr1 0.062 0.437 0.737
Zr2 0.188 0.311 0.250
Zr3 0.311 0.188 0.750
Zr4 0.437 0.062 0.237
Zr5 0.563 0.938 0.763
Zr6 0.689 0.812 0.250
Zr7 0.812 0.689 0.750
Zr8 0.938 0.563 0.263
H1 0.310 0.690 0.250
H2 0.690 0.310 0.750
N1 0.187 0.813 0.750
N2 0.813 0.187 0.250

=====

No. 8
Na8H: simulated powder XRD pattern (a wavelength of 1.5418 Å), based on the GGA-PBE geometry in Alexandria.

Main lines, sorted by position (2θ = 10–90°):
two_theta	d_spacing	I/Imax
28.1	3.179	23
29.5	3.024	25
31.8	2.814	100
41.2	2.191	15
49.7	1.836	18
53.8	1.703	17
58.9	1.569	18
60.2	1.537	13

Structure:
Cell: 7.342 7.342 6.048 Å, 90.00 90.00 120.00°
Fractional positions:
Na1 0.161 0.322 0.265
Na2 0.161 0.839 0.265
Na3 0.322 0.161 0.735
Na4 0.333 0.667 0.784
Na5 0.667 0.333 0.216
Na6 0.678 0.839 0.265
Na7 0.839 0.161 0.735
Na8 0.839 0.678 0.735
H1 0.000 0.000 0.500

=====

No. 9
NaNbH4: simulated powder XRD pattern (a wavelength of 1.5418 Å), based on the GGA-PBE geometry in Alexandria.

Main lines, sorted by position (2θ = 10–90°):
two_theta	d_spacing	I/Imax
18.0	4.940	100
18.5	4.797	56
31.0	2.881	26
32.0	2.796	46
36.1	2.485	16
36.4	2.470	18
36.7	2.452	14
45.6	1.988	28

Structure:
Cell: 5.876 5.876 5.150 Å, 107.76 107.76 109.45°
Fractional positions:
Na1 0.147 0.853 0.750
Na2 0.853 0.147 0.250
Nb1 0.497 0.503 0.250
Nb2 0.503 0.497 0.750
H1 0.197 0.314 0.820
H2 0.261 0.555 0.454
H3 0.314 0.197 0.320
H4 0.445 0.739 0.046
H5 0.555 0.261 0.954
H6 0.686 0.803 0.680
H7 0.739 0.445 0.546
H8 0.803 0.686 0.180

=====

Please write out number 4 again, unchanged.
Zr3HN2: simulated powder XRD pattern (a wavelength of 1.5418 Å), based on the GGA-PBE geometry in Alexandria.

Main lines, sorted by position (2θ = 10–90°):
two_theta	d_spacing	I/Imax
33.6	2.664	100
39.0	2.307	74
56.4	1.631	47
67.2	1.393	13
67.3	1.391	26
70.7	1.332	15
83.7	1.155	2
83.9	1.153	5

Structure:
Cell: 7.293 7.292 3.264 Å, 77.10 77.04 25.86°
Fractional positions:
Zr1 0.000 0.000 0.000
Zr2 0.329 0.329 0.671
Zr3 0.671 0.671 0.329
H1 0.500 0.500 0.500
N1 0.167 0.167 0.833
N2 0.833 0.833 0.167